Theoretical powder diffractogram of SrPr6Dy2 for Cu Kα, from the PBE geometry in Alexandria.
Kinematic intensities with the Lorentz-polarization factor, no thermal factor.

Largest 12 diffraction maxima, in order of rising 2θ, 5 to 70 degrees two-theta:
Position (°2θ)  I/Imax
11.19  2.0
29.39  100.0
34.00  33.6
34.20  17.0
48.75  5.8
48.99  30.0
57.97  13.7
58.11  14.1
58.28  7.4
58.33  7.4
60.89  6.0
61.07  6.2

Atomic structure:
```
9
Lattice="7.914 -2.621 0.000 7.914 2.621 0.000 -2.668 0.000 7.907" Properties=species:S:1:pos:R:3 pbc="T T T"
Sr 0.000 0.000 0.000
Pr 2.674 0.000 2.682
Pr 5.159 0.000 0.031
Pr 5.287 0.000 5.158
Pr 7.872 0.000 2.748
Pr 8.000 0.000 7.876
Pr 10.485 0.000 5.225
Dy 0.021 0.000 5.199
Dy 13.139 0.000 2.708
```

***

Theoretical powder diffractogram of SrPrDy2 for Cu Kα, from the PBE geometry in Alexandria.
Kinematic intensities with the Lorentz-polarization factor, no thermal factor.

Largest 12 diffraction maxima, in order of rising 2θ, 5 to 70 degrees two-theta:
Position (°2θ)  I/Imax
7.23  24.2
28.17  32.0
29.21  42.4
30.34  100.0
32.67  63.0
37.17  28.5
49.06  33.2
50.96  25.2
58.12  36.5
58.78  15.4
60.19  10.9
62.78  12.8

Atomic structure:
```
4
Lattice="1.857 1.072 12.230 -1.857 1.072 12.230 0.000 -2.144 12.230" Properties=species:S:1:pos:R:3 pbc="T T T"
Sr 0.000 0.000 0.000
Pr 0.000 0.000 6.080
Dy 0.000 0.000 21.195
Dy 0.000 0.000 27.691
```

***

Theoretical powder diffractogram of Tb4PrDy7 for Cu Kα, from the PBE geometry in Alexandria.
Kinematic intensities with the Lorentz-polarization factor, no thermal factor.

Largest 12 diffraction maxima, in order of rising 2θ, 5 to 70 degrees two-theta:
Position (°2θ)  I/Imax
28.92  36.9
29.54  15.8
31.19  50.5
31.94  100.0
33.64  89.4
40.28  14.1
50.85  38.8
54.86  21.2
58.17  19.2
60.87  45.2
61.32  15.5
62.36  15.1

Atomic structure:
```
12
Lattice="6.219 0.000 0.000 0.000 7.184 0.000 -2.076 0.000 8.604" Properties=species:S:1:pos:R:3 pbc="T T T"
Tb 1.034 1.800 1.416
Tb 0.003 3.595 7.173
Tb 4.139 3.588 1.431
Tb 3.109 5.383 7.188
Pr 2.072 0.000 4.302
Dy 5.179 1.800 4.301
Dy -1.037 5.384 4.302
Dy 1.033 5.379 1.419
Dy -0.005 0.003 7.178
Dy 2.071 3.592 4.302
Dy 4.148 7.181 1.426
Dy 3.110 1.805 7.185
```

***

Copy entry 1 word for word.
Theoretical powder diffractogram of SrPr6Dy2 for Cu Kα, from the PBE geometry in Alexandria.
Kinematic intensities with the Lorentz-polarization factor, no thermal factor.

Largest 12 diffraction maxima, in order of rising 2θ, 5 to 70 degrees two-theta:
Position (°2θ)  I/Imax
11.19  2.0
29.39  100.0
34.00  33.6
34.20  17.0
48.75  5.8
48.99  30.0
57.97  13.7
58.11  14.1
58.28  7.4
58.33  7.4
60.89  6.0
61.07  6.2

Atomic structure:
```
9
Lattice="7.914 -2.621 0.000 7.914 2.621 0.000 -2.668 0.000 7.907" Properties=species:S:1:pos:R:3 pbc="T T T"
Sr 0.000 0.000 0.000
Pr 2.674 0.000 2.682
Pr 5.159 0.000 0.031
Pr 5.287 0.000 5.158
Pr 7.872 0.000 2.748
Pr 8.000 0.000 7.876
Pr 10.485 0.000 5.225
Dy 0.021 0.000 5.199
Dy 13.139 0.000 2.708
```

***

Q: Which formula does entry 3 have?
A: Tb4PrDy7